For TlMo3O9, the PBE+U geometry in Alexandria gives the computed X-ray diffraction stick pattern in this record (Cu Kα, 1.54184 Å).
No peak broadening, texture or thermal motion is included.

Structural model:
a = 8.4962 Å, b = 8.4962 Å, c = 8.9771 Å
α = 90.00°, β = 90.00°, γ = 106.48°
Fractional positions:
Tl 0.1230 0.1230 0.0000
Tl 0.8770 0.8770 0.5000
Mo 0.2521 0.2521 0.5000
Mo 0.2923 0.6827 0.9568
Mo 0.3173 0.7077 0.5432
Mo 0.6827 0.2923 0.0432
Mo 0.7077 0.3173 0.4568
Mo 0.7479 0.7479 0.0000
O 0.1426 0.1603 0.3440
O 0.1603 0.1426 0.6560
O 0.1827 0.7942 0.0535
O 0.2058 0.8173 0.4465
O 0.2216 0.4728 0.9958
O 0.2459 0.4709 0.5078
O 0.2739 0.7261 0.7500
O 0.4709 0.2459 0.4922
O 0.4728 0.2216 0.0042
O 0.5272 0.7784 0.5042
O 0.5291 0.7541 0.9922
O 0.7261 0.2739 0.2500
O 0.7541 0.5291 0.0078
O 0.7784 0.5272 0.4958
O 0.7942 0.1827 0.9465
O 0.8173 0.2058 0.5535
O 0.8397 0.8574 0.1560
O 0.8574 0.8397 0.8440

Most intense lines, 15° ≤ 2θ ≤ 90°, most intense first:
| Position (°2θ) | I (rel.) |
| --- | --- |
| 19.8 | 100 |
| 21.4 | 64 |
| 21.8 | 51 |
| 24.0 | 42 |
| 29.3 | 39 |
| 28.9 | 34 |
| 29.6 | 26 |
| 37.3 | 21 |